1.
Starting from a DFT-relaxed cell (PBE, Alexandria), the powder diffractogram of Cu4Ni10Pt was computed for Cu Kα, 1.54184 Å.
Lines closer than 0.1° are merged.

Largest 10 diffraction maxima, in order of rising 2θ, 2θ = 10–80°:
d 7.831, intensity 9; d 4.516, intensity 12; d 3.502, intensity 11; d 3.200, intensity 3; d 2.612, intensity 4; d 2.024, intensity 100; d 2.017, intensity 98; d 1.430, intensity 10; d 1.428, intensity 20; d 1.233, intensity 6

Structural model:
```
Cu4Ni10Pt
1.0
3.187 -3.506 0.000
3.187 3.506 0.000
-3.150 0.000 7.831
Cu Ni Pt
4 10 1
Direct
0.099 0.099 0.401 Cu
0.295 0.295 0.205 Cu
0.705 0.705 0.795 Cu
0.901 0.901 0.599 Cu
0.068 0.735 0.102 Ni
0.132 0.466 0.696 Ni
0.265 0.932 0.898 Ni
0.334 0.666 0.500 Ni
0.466 0.132 0.696 Ni
0.534 0.868 0.304 Ni
0.666 0.334 0.500 Ni
0.735 0.068 0.102 Ni
0.868 0.534 0.304 Ni
0.932 0.265 0.898 Ni
0.500 0.500 0.000 Pt
```

2.
Starting from a DFT-relaxed cell (PBE, Alexandria), the powder diffractogram of CsNdPbBr6 was computed for Cu Kα, 1.54184 Å.
Lines closer than 0.1° are merged.

Largest 10 diffraction maxima, in order of rising 2θ, 2θ = 10–80°:
d 4.652, intensity 100; d 4.546, intensity 49; d 4.356, intensity 60; d 2.984, intensity 36; d 2.747, intensity 32; d 2.709, intensity 85; d 2.638, intensity 24; d 2.589, intensity 27; d 2.323, intensity 32; d 2.155, intensity 31

Structural model:
```
CsNdPbBr6
1.0
-5.277 5.494 7.716
5.277 -5.494 7.716
5.277 5.494 -7.716
Cs Nd Pb Br
2 2 2 12
Direct
0.325 0.075 0.250 Cs
0.675 0.925 0.750 Cs
0.000 0.500 0.500 Nd
0.500 0.500 0.000 Nd
0.000 0.000 0.500 Pb
0.000 0.500 0.000 Pb
0.085 0.422 0.259 Br
0.085 0.826 0.663 Br
0.093 0.843 0.250 Br
0.313 0.563 0.750 Br
0.337 0.174 0.759 Br
0.337 0.578 0.163 Br
0.663 0.422 0.837 Br
0.663 0.826 0.241 Br
0.687 0.437 0.250 Br
0.907 0.157 0.750 Br
0.915 0.174 0.337 Br
0.915 0.578 0.741 Br
```

3.
Starting from a DFT-relaxed cell (PBE, Alexandria), the powder diffractogram of Tb9Y2Tm3 was computed for Cu Kα, 1.54184 Å.
Lines closer than 0.1° are merged.

Largest 10 diffraction maxima, in order of rising 2θ, 2θ = 10–80°:
d 2.862, intensity 88; d 2.848, intensity 46; d 2.842, intensity 100; d 2.818, intensity 48; d 2.788, intensity 74; d 2.716, intensity 64; d 2.655, intensity 44; d 2.574, intensity 56; d 1.871, intensity 29; d 1.745, intensity 28

Structural model:
```
Tb9Y2Tm3
1.0
6.189 0.000 0.000
0.377 8.715 0.000
1.875 1.514 8.404
Tb Y Tm
9 2 3
Direct
0.000 0.000 0.000 Tb
0.089 0.312 0.694 Tb
0.191 0.615 0.897 Tb
0.346 0.666 0.495 Tb
0.489 0.250 0.919 Tb
0.511 0.750 0.081 Tb
0.654 0.334 0.505 Tb
0.809 0.385 0.103 Tb
0.911 0.688 0.306 Tb
0.454 0.969 0.702 Y
0.546 0.031 0.298 Y
0.000 0.000 0.500 Tm
0.250 0.379 0.277 Tm
0.750 0.621 0.723 Tm
```

4.
Starting from a DFT-relaxed cell (PBE, Alexandria), the powder diffractogram of Na2Mg2In15 was computed for Cu Kα, 1.54184 Å.
Lines closer than 0.1° are merged.

Largest 10 diffraction maxima, in order of rising 2θ, 2θ = 10–80°:
d 5.069, intensity 95; d 3.137, intensity 27; d 3.112, intensity 34; d 2.989, intensity 30; d 2.778, intensity 85; d 2.629, intensity 100; d 2.575, intensity 23; d 2.535, intensity 33; d 2.334, intensity 92; d 1.995, intensity 25

Structural model:
```
Na2Mg2In15
1.0
5.069 2.927 5.978
-5.069 2.927 5.978
0.000 -5.853 5.978
Na Mg In
2 2 15
Direct
0.191 0.191 0.191 Na
0.809 0.809 0.809 Na
0.401 0.401 0.401 Mg
0.599 0.599 0.599 Mg
0.000 0.500 0.500 In
0.108 0.108 0.657 In
0.108 0.657 0.108 In
0.208 0.500 0.792 In
0.208 0.792 0.500 In
0.343 0.892 0.892 In
0.500 0.000 0.500 In
0.500 0.208 0.792 In
0.500 0.500 0.000 In
0.500 0.792 0.208 In
0.657 0.108 0.108 In
0.792 0.208 0.500 In
0.792 0.500 0.208 In
0.892 0.343 0.892 In
0.892 0.892 0.343 In
```

5.
Starting from a DFT-relaxed cell (PBE, Alexandria), the powder diffractogram of LaSm12Tl4O3 was computed for Cu Kα, 1.54184 Å.
Lines closer than 0.1° are merged.

Largest 10 diffraction maxima, in order of rising 2θ, 2θ = 10–80°:
d 3.583, intensity 8; d 2.925, intensity 100; d 2.708, intensity 4; d 2.533, intensity 68; d 2.161, intensity 3; d 1.791, intensity 46; d 1.528, intensity 41; d 1.463, intensity 15; d 1.379, intensity 3; d 1.267, intensity 7

Structural model:
```
LaSm12Tl4O3
1.0
-5.067 5.067 5.067
5.067 -5.067 5.067
5.067 5.067 -5.067
La Sm Tl O
1 12 4 3
Direct
0.000 0.000 0.000 La
0.000 0.273 0.273 Sm
0.000 0.727 0.727 Sm
0.250 0.500 0.750 Sm
0.250 0.750 0.500 Sm
0.273 0.000 0.273 Sm
0.273 0.273 0.000 Sm
0.500 0.250 0.750 Sm
0.500 0.750 0.250 Sm
0.727 0.000 0.727 Sm
0.727 0.727 0.000 Sm
0.750 0.250 0.500 Sm
0.750 0.500 0.250 Sm
0.000 0.000 0.500 Tl
0.000 0.500 0.000 Tl
0.500 0.000 0.000 Tl
0.500 0.500 0.500 Tl
0.000 0.500 0.500 O
0.500 0.000 0.500 O
0.500 0.500 0.000 O
```

6.
Starting from a DFT-relaxed cell (PBE, Alexandria), the powder diffractogram of KRbIn2Br8 was computed for Cu Kα, 1.54184 Å.
Lines closer than 0.1° are merged.

Largest 10 diffraction maxima, in order of rising 2θ, 2θ = 10–80°:
d 6.810, intensity 35; d 4.553, intensity 35; d 4.481, intensity 100; d 3.337, intensity 81; d 3.253, intensity 61; d 2.873, intensity 26; d 2.814, intensity 70; d 2.619, intensity 29; d 2.261, intensity 38; d 1.819, intensity 34

Structural model:
```
KRbIn2Br8
1.0
-3.703 3.703 8.658
3.703 -3.703 8.658
3.703 3.703 -8.658
K Rb In Br
1 1 2 8
Direct
0.000 0.000 0.000 K
0.750 0.250 0.500 Rb
0.250 0.750 0.500 In
0.500 0.500 0.000 In
0.021 0.913 0.599 Br
0.087 0.686 0.108 Br
0.174 0.267 0.600 Br
0.314 0.422 0.401 Br
0.427 0.826 0.093 Br
0.578 0.979 0.892 Br
0.667 0.573 0.400 Br
0.733 0.333 0.907 Br
```